# 1
# KRb2As2Pt
Theoretical PXRD pattern, a wavelength of 1.5418 Å. Input: a PBE-relaxed structure.
Intensities are scaled so that the largest is 100.

Structure:
Unit cell a=8.928 b=8.928 c=8.928 alpha=123.09 beta=78.71 gamma=130.53
Element x y z (fractional)
K (0.250, 0.250, 0.000)
K (0.750, 0.750, 0.000)
Rb (0.198, 0.657, 0.855)
Rb (0.302, 0.157, 0.459)
Rb (0.698, 0.843, 0.541)
Rb (0.802, 0.343, 0.145)
As (0.050, 0.318, 0.368)
As (0.450, 0.818, 0.268)
As (0.550, 0.182, 0.732)
As (0.950, 0.682, 0.632)
Pt (0.250, 0.750, 0.500)
Pt (0.750, 0.250, 0.500)

Largest 8 diffraction maxima, sorted by position, 2θ from 10° to 90°:
Position (°2θ)  I_rel
12.22  100
12.82  39
25.81  17
27.14  17
30.40  31
31.88  30
34.49  20
40.46  23


# 2
# KSnAs2Pt4
Theoretical PXRD pattern, a wavelength of 1.5418 Å. Input: a PBE-relaxed structure.
Intensities are scaled so that the largest is 100.

Structure:
Unit cell a=4.048 b=4.048 c=10.659 alpha=90.00 beta=90.00 gamma=90.00
Element x y z (fractional)
K (0.000, 0.000, 0.000)
Sn (0.000, 0.000, 0.500)
As (0.500, 0.500, 0.184)
As (0.500, 0.500, 0.816)
Pt (0.000, 0.500, 0.319)
Pt (0.000, 0.500, 0.681)
Pt (0.500, 0.000, 0.319)
Pt (0.500, 0.000, 0.681)

Largest 8 diffraction maxima, sorted by position, 2θ from 10° to 90°:
Position (°2θ)  I_rel
16.63  45
25.06  24
31.25  21
35.60  44
40.47  100
44.78  45
53.60  21
79.60  29


# 3
# K2SrAs2Pt
Theoretical PXRD pattern, a wavelength of 1.5418 Å. Input: a PBE-relaxed structure.
Intensities are scaled so that the largest is 100.

Structure:
Unit cell a=8.603 b=8.603 c=8.603 alpha=128.83 beta=79.65 gamma=123.55
Element x y z (fractional)
K (0.209, 0.119, 0.329)
K (0.291, 0.619, 0.910)
K (0.709, 0.381, 0.090)
K (0.791, 0.881, 0.671)
Sr (0.250, 0.750, 0.500)
Sr (0.750, 0.250, 0.500)
As (0.030, 0.802, 0.833)
As (0.470, 0.302, 0.772)
As (0.530, 0.698, 0.228)
As (0.970, 0.198, 0.167)
Pt (0.250, 0.250, 0.000)
Pt (0.750, 0.750, 0.000)

Largest 8 diffraction maxima, sorted by position, 2θ from 10° to 90°:
Position (°2θ)  I_rel
13.40  100
13.67  43
25.71  16
26.99  30
32.64  31
35.43  50
42.85  25
46.75  13


# 4
# K2PuAs2S6
Theoretical PXRD pattern, a wavelength of 1.5418 Å. Input: a PBE-relaxed structure.
Intensities are scaled so that the largest is 100.

Structure:
Unit cell a=8.046 b=8.046 c=7.174 alpha=113.08 beta=113.08 gamma=51.58
Element x y z (fractional)
K (0.249, 0.249, 0.227)
K (0.751, 0.751, 0.773)
Pu (0.500, 0.500, 0.000)
As (0.029, 0.029, 0.354)
As (0.971, 0.971, 0.646)
S (0.162, 0.686, 0.169)
S (0.314, 0.838, 0.831)
S (0.330, 0.330, 0.722)
S (0.670, 0.670, 0.278)
S (0.686, 0.162, 0.169)
S (0.838, 0.314, 0.831)

Largest 8 diffraction maxima, sorted by position, 2θ from 10° to 90°:
Position (°2θ)  I_rel
13.58  100
13.71  36
17.72  73
21.88  75
22.89  66
25.45  34
29.24  57
35.89  47


# 5
# K6Rb12As
Theoretical PXRD pattern, a wavelength of 1.5418 Å. Input: a PBE-relaxed structure.
Intensities are scaled so that the largest is 100.

Structure:
Unit cell a=11.748 b=11.748 c=11.748 alpha=78.25 beta=78.25 gamma=78.25
Element x y z (fractional)
K (0.127, 0.821, 0.821)
K (0.179, 0.179, 0.873)
K (0.179, 0.873, 0.179)
K (0.821, 0.127, 0.821)
K (0.821, 0.821, 0.127)
K (0.873, 0.179, 0.179)
Rb (0.137, 0.137, 0.477)
Rb (0.137, 0.477, 0.137)
Rb (0.193, 0.533, 0.533)
Rb (0.467, 0.467, 0.807)
Rb (0.467, 0.807, 0.467)
Rb (0.477, 0.137, 0.137)
Rb (0.523, 0.863, 0.863)
Rb (0.533, 0.193, 0.533)
Rb (0.533, 0.533, 0.193)
Rb (0.807, 0.467, 0.467)
Rb (0.863, 0.523, 0.863)
Rb (0.863, 0.863, 0.523)
As (0.000, 0.000, 0.000)

Largest 8 diffraction maxima, sorted by position, 2θ from 10° to 90°:
Position (°2θ)  I_rel
20.76  17
22.09  23
23.55  100
30.49  21
36.36  24
39.66  23
42.96  22
43.78  17


# 6
# K2Rb6As
Theoretical PXRD pattern, a wavelength of 1.5418 Å. Input: a PBE-relaxed structure.
Intensities are scaled so that the largest is 100.

Structure:
Unit cell a=5.441 b=11.858 c=11.858 alpha=124.50 beta=90.00 gamma=90.00
Element x y z (fractional)
K (0.000, 0.182, 0.818)
K (0.000, 0.818, 0.182)
Rb (0.000, 0.288, 0.480)
Rb (0.000, 0.480, 0.288)
Rb (0.000, 0.712, 0.712)
Rb (0.500, 0.133, 0.133)
Rb (0.500, 0.505, 0.815)
Rb (0.500, 0.815, 0.505)
As (0.500, 0.493, 0.493)

Largest 8 diffraction maxima, sorted by position, 2θ from 10° to 90°:
Position (°2θ)  I_rel
22.21  100
22.95  51
24.51  54
27.38  34
28.04  47
28.64  39
30.25  32
32.92  34


# 7
# K5Rb4As3
Theoretical PXRD pattern, a wavelength of 1.5418 Å. Input: a PBE-relaxed structure.
Intensities are scaled so that the largest is 100.

Structure:
Unit cell a=6.212 b=9.514 c=10.542 alpha=110.66 beta=104.84 gamma=90.21
Element x y z (fractional)
K (0.000, 0.000, 0.000)
K (0.359, 0.744, 0.673)
K (0.437, 0.280, 0.892)
K (0.563, 0.720, 0.108)
K (0.641, 0.256, 0.327)
Rb (0.144, 0.476, 0.313)
Rb (0.192, 0.928, 0.374)
Rb (0.808, 0.072, 0.626)
Rb (0.856, 0.524, 0.687)
As (0.299, 0.310, 0.580)
As (0.500, 0.000, 0.000)
As (0.701, 0.690, 0.420)

Largest 8 diffraction maxima, sorted by position, 2θ from 10° to 90°:
Position (°2θ)  I_rel
24.31  36
26.27  70
26.73  69
28.24  44
28.77  100
29.21  40
31.67  42
32.42  45


# 8
# KRb4As2
Theoretical PXRD pattern, a wavelength of 1.5418 Å. Input: a PBE-relaxed structure.
Intensities are scaled so that the largest is 100.

Structure:
Unit cell a=11.840 b=11.840 c=11.840 alpha=29.74 beta=29.74 gamma=29.74
Element x y z (fractional)
K (0.000, 0.000, 0.000)
Rb (0.201, 0.201, 0.201)
Rb (0.412, 0.412, 0.412)
Rb (0.588, 0.588, 0.588)
Rb (0.799, 0.799, 0.799)
As (0.096, 0.096, 0.096)
As (0.904, 0.904, 0.904)

Largest 8 diffraction maxima, sorted by position, 2θ from 10° to 90°:
Position (°2θ)  I_rel
15.67  25
21.37  38
29.40  100
31.37  69
33.48  24
43.53  27
52.14  19
53.40  29


# 9
# K4Rb2SiAs2
Theoretical PXRD pattern, a wavelength of 1.5418 Å. Input: a PBE-relaxed structure.
Intensities are scaled so that the largest is 100.

Structure:
Unit cell a=8.713 b=8.713 c=7.574 alpha=104.44 beta=104.44 gamma=57.12
Element x y z (fractional)
K (0.125, 0.663, 0.600)
K (0.337, 0.875, 0.400)
K (0.663, 0.125, 0.600)
K (0.875, 0.337, 0.400)
Rb (0.327, 0.327, 0.063)
Rb (0.673, 0.673, 0.937)
Si (0.000, 0.000, 0.000)
As (0.089, 0.089, 0.814)
As (0.911, 0.911, 0.186)

Largest 8 diffraction maxima, sorted by position, 2θ from 10° to 90°:
Position (°2θ)  I_rel
12.21  56
21.06  32
24.06  67
24.64  100
25.90  51
26.92  59
29.04  44
40.97  36


# 10
# K2Rb4SnAs2
Theoretical PXRD pattern, a wavelength of 1.5418 Å. Input: a PBE-relaxed structure.
Intensities are scaled so that the largest is 100.

Structure:
Unit cell a=9.354 b=9.354 c=9.354 alpha=146.96 beta=111.61 gamma=78.08
Element x y z (fractional)
K (0.145, 0.145, 0.000)
K (0.855, 0.855, 0.000)
Rb (0.162, 0.363, 0.799)
Rb (0.436, 0.637, 0.799)
Rb (0.564, 0.363, 0.201)
Rb (0.838, 0.637, 0.201)
Sn (0.500, 0.000, 0.500)
As (0.293, 0.793, 0.500)
As (0.707, 0.207, 0.500)

Largest 8 diffraction maxima, sorted by position, 2θ from 10° to 90°:
Position (°2θ)  I_rel
10.39  65
24.58  100
29.90  27
30.19  33
30.54  38
31.00  44
33.70  32
53.19  24


# 11
# KRbTe2As
Theoretical PXRD pattern, a wavelength of 1.5418 Å. Input: a PBE-relaxed structure.
Intensities are scaled so that the largest is 100.

Structure:
Unit cell a=8.442 b=8.442 c=6.839 alpha=90.00 beta=90.00 gamma=130.73
Element x y z (fractional)
K (0.250, 0.250, 0.000)
K (0.750, 0.750, 0.000)
Rb (0.250, 0.750, 0.759)
Rb (0.750, 0.250, 0.241)
Te (0.152, 0.848, 0.274)
Te (0.348, 0.652, 0.274)
Te (0.652, 0.348, 0.726)
Te (0.848, 0.152, 0.726)
As (0.000, 0.000, 0.500)
As (0.500, 0.500, 0.500)

Largest 8 diffraction maxima, sorted by position, 2θ from 10° to 90°:
Position (°2θ)  I_rel
19.00  53
25.15  49
25.31  70
28.57  78
34.47  100
35.12  33
36.64  31
50.77  33


# 12
# KRbTe4As2
Theoretical PXRD pattern, a wavelength of 1.5418 Å. Input: a PBE-relaxed structure.
Intensities are scaled so that the largest is 100.

Structure:
Unit cell a=7.340 b=7.340 c=7.340 alpha=126.39 beta=108.91 gamma=94.74
Element x y z (fractional)
K (0.000, 0.000, 0.000)
Rb (0.500, 0.500, 0.000)
Te (0.000, 0.001, 0.501)
Te (0.000, 0.501, 0.001)
Te (0.500, 0.499, 0.499)
Te (0.500, 0.999, 0.999)
As (0.135, 0.635, 0.500)
As (0.865, 0.365, 0.500)

Largest 8 diffraction maxima, sorted by position, 2θ from 10° to 90°:
Position (°2θ)  I_rel
17.84  58
27.55  100
32.50  65
34.29  93
38.91  37
42.37  26
50.67  30
54.39  30